Calculated powder diffraction line list
Compound: Nd2ZrSe5
Radiation: Cu Kα, 1.54184 Å
Structure: a PBE-relaxed structure
Intensities are scaled so that the largest is 1000.

Largest 10 diffraction maxima, low angle first, 2θ from 5° to 70°:
(hkl)  2θ/deg  I (rel.)
3 0 1  24.7  409
4 0 1  31.6  527
1 2 2  32.3  894
3 2 1  32.8  984
2 2 2  34.8  1000
1 0 3  35.5  353
4 2 0  36.4  485
0 4 0  43.1  521
5 2 1  44.6  549
2 2 5  66.0  303

Atomic structure:
```
data_Nd2ZrSe5
_symmetry_space_group_name_H-M 'P n m a'
_symmetry_Int_Tables_number 62
_symmetry_space_group_name_Hall '-P 2ac 2n'
_cell_length_a 12.1819
_cell_length_b 8.3974
_cell_length_c 7.7563
_cell_angle_alpha 90.00
_cell_angle_beta 90.00
_cell_angle_gamma 90.00
loop_
_atom_site_label
_atom_site_type_symbol
_atom_site_fract_x
_atom_site_fract_y
_atom_site_fract_z
Nd1 Nd 0.1764 0.0028 0.0402
Zr1 Zr 0.0088 0.7500 0.5782
Se1 Se 0.0042 0.7500 0.9467
Se2 Se 0.0839 0.0375 0.6695
Se3 Se 0.1857 0.7500 0.3439
Se4 Se 0.2084 0.2500 0.3247
```

=====

Calculated powder diffraction line list
Compound: Nd4Si7
Radiation: Cu Kα, 1.54184 Å
Structure: a PBE-relaxed structure
Intensities are scaled so that the largest is 1000.

Largest 10 diffraction maxima, low angle first, 2θ from 5° to 70°:
(hkl)  2θ/deg  I (rel.)
0 1 1  21.9  230
1 0 1  22.6  227
0 0 4  25.8  233
0 1 3  28.6  272
1 0 3  29.1  238
1 1 2  33.0  1000
0 1 5  38.9  191
1 0 5  39.3  188
0 2 0  42.7  160
2 0 0  44.1  145

Atomic structure:
```
data_Nd4Si7
_symmetry_space_group_name_H-M 'P m m 2'
_symmetry_Int_Tables_number 25
_symmetry_space_group_name_Hall 'P 2 -2'
_cell_length_a 4.1093
_cell_length_b 4.2396
_cell_length_c 13.8164
_cell_angle_alpha 90.00
_cell_angle_beta 90.00
_cell_angle_gamma 90.00
loop_
_atom_site_label
_atom_site_type_symbol
_atom_site_fract_x
_atom_site_fract_y
_atom_site_fract_z
Nd1 Nd 0.0000 0.0000 0.0000
Nd2 Nd 0.0000 0.5000 0.2534
Nd3 Nd 0.5000 0.0000 0.7528
Nd4 Nd 0.5000 0.5000 0.5002
Si1 Si 0.0000 0.0000 0.4160
Si2 Si 0.0000 0.0000 0.5869
Si3 Si 0.0000 0.5000 0.6670
Si4 Si 0.0000 0.5000 0.8359
Si5 Si 0.5000 0.0000 0.3241
Si6 Si 0.5000 0.5000 0.0901
Si7 Si 0.5000 0.5000 0.9231
```

=====

Calculated powder diffraction line list
Compound: Nd5Si4
Radiation: Cu Kα, 1.54184 Å
Structure: a PBE-relaxed structure
Intensities are scaled so that the largest is 1000.

Largest 10 diffraction maxima, low angle first, 2θ from 5° to 70°:
(hkl)  2θ/deg  I (rel.)
2 1 1  26.2  509
2 3 0  29.0  545
1 3 2  30.8  577
2 3 1  31.1  1000
0 4 2  32.6  772
2 1 2  32.7  487
1 4 2  34.6  305
1 1 3  36.2  314
3 0 1  36.4  302
3 4 3  55.1  402

Atomic structure:
```
data_Nd5Si4
_symmetry_space_group_name_H-M 'P n m a'
_symmetry_Int_Tables_number 62
_symmetry_space_group_name_Hall '-P 2ac 2n'
_cell_length_a 7.7780
_cell_length_b 15.1875
_cell_length_c 7.9718
_cell_angle_alpha 90.00
_cell_angle_beta 90.00
_cell_angle_gamma 90.00
loop_
_atom_site_label
_atom_site_type_symbol
_atom_site_fract_x
_atom_site_fract_y
_atom_site_fract_z
Nd1 Nd 0.0381 0.1005 0.1866
Nd2 Nd 0.1394 0.7500 0.5132
Nd3 Nd 0.1887 0.1220 0.6812
Si1 Si 0.0180 0.7500 0.0990
Si2 Si 0.1349 0.5407 0.4748
Si3 Si 0.2502 0.2500 0.3798
```

=====

> What is the formula in the second record?

Nd4Si7